No. 1
Diffraction record for RbNp2Se4. The XRD peak list is theoretical, not measured: it uses a cell relaxed with PBE and Cu Kα, 1.54184 Å.
Lines closer than 0.1° are merged.

Cell and atoms:
Unit cell a=7.1680 b=4.2098 c=8.4214 alpha=90.00 beta=90.36 gamma=90.00
Space group P2/m (No. 10)
Symmetry-distinct sites (fractional):
Rb  0.0000  0.0000  0.0000 (multiplicity 1)
Np  0.0000  0.0000  0.5000 (multiplicity 1)
Np  0.5000  0.5000  0.5000 (multiplicity 1)
Se  0.1619  0.5000  0.3138 (multiplicity 2)
Se  0.3350  0.0000  0.6822 (multiplicity 2)

Top 12 peaks for 10° ≤ 2θ ≤ 90°, in order of rising 2θ:
h k l  2θ (°)  I_rel
0 0 1  10.5  1000
1 1 0  24.5  176
1 1 -1  26.7  303
2 0 1  27.1  153
1 1 -2  32.5  434
1 1 2  32.6  178
2 0 2  32.9  208
1 1 3  40.7  181
0 2 0  43.0  140
3 1 0  43.6  197
2 0 -4  50.1  184
2 2 2  55.2  99

***

No. 2
Diffraction record for RbCd3Sn. The XRD peak list is theoretical, not measured: it uses a cell relaxed with PBE and Cu Kα, 1.54184 Å.
Lines closer than 0.1° are merged.

Cell and atoms:
Unit cell a=5.0419 b=5.0419 c=12.2385 alpha=90.00 beta=90.00 gamma=90.00
Space group I4mm (No. 107)
Symmetry-distinct sites (fractional):
Rb  0.0000  0.0000  0.0000 (multiplicity 2)
Cd  0.0000  0.0000  0.6175 (multiplicity 2)
Cd  0.0000  0.5000  0.2534 (multiplicity 4)
Sn  0.0000  0.0000  0.3782 (multiplicity 2)

Top 12 peaks for 10° ≤ 2θ ≤ 90°, in order of rising 2θ:
h k l  2θ (°)  I_rel
0 0 2  14.5  192
1 0 3  28.1  543
1 1 2  29.0  1000
2 0 0  35.6  798
1 1 4  38.8  585
1 0 5  41.0  275
2 1 3  46.0  281
2 2 0  51.2  276
2 1 5  55.4  225
3 1 2  60.0  241
3 1 4  66.1  234
2 0 8  72.2  186

***

No. 3
Diffraction record for PuTl2AgSb2. The XRD peak list is theoretical, not measured: it uses a cell relaxed with PBE and Cu Kα, 1.54184 Å.
Lines closer than 0.1° are merged.

Cell and atoms:
Unit cell a=4.7674 b=10.3998 c=7.1477 alpha=90.00 beta=90.00 gamma=90.00
Space group Pmc2_1 (No. 26)
Symmetry-distinct sites (fractional):
Pu  0.0000  0.0159  0.0000 (multiplicity 2)
Tl  0.0000  0.3388  0.7831 (multiplicity 2)
Tl  0.5000  0.4410  0.4519 (multiplicity 2)
Ag  0.5000  0.1514  0.3185 (multiplicity 2)
Sb  0.0000  0.2756  0.2285 (multiplicity 2)
Sb  0.5000  0.1179  0.7301 (multiplicity 2)

Top 12 peaks for 10° ≤ 2θ ≤ 90°, in order of rising 2θ:
h k l  2θ (°)  I_rel
1 1 1  24.0  224
1 2 1  28.3  157
0 2 2  30.3  463
1 3 0  31.9  735
1 1 2  32.5  1000
1 3 1  34.4  168
1 2 2  35.8  164
0 4 1  36.8  156
2 0 0  37.7  409
2 2 2  49.2  247
1 5 3  62.4  141
3 1 2  64.8  140

***

Copy entry 1 word for word.
Diffraction record for RbNp2Se4. The XRD peak list is theoretical, not measured: it uses a cell relaxed with PBE and Cu Kα, 1.54184 Å.
Lines closer than 0.1° are merged.

Cell and atoms:
Unit cell a=7.1680 b=4.2098 c=8.4214 alpha=90.00 beta=90.36 gamma=90.00
Space group P2/m (No. 10)
Symmetry-distinct sites (fractional):
Rb  0.0000  0.0000  0.0000 (multiplicity 1)
Np  0.0000  0.0000  0.5000 (multiplicity 1)
Np  0.5000  0.5000  0.5000 (multiplicity 1)
Se  0.1619  0.5000  0.3138 (multiplicity 2)
Se  0.3350  0.0000  0.6822 (multiplicity 2)

Top 12 peaks for 10° ≤ 2θ ≤ 90°, in order of rising 2θ:
h k l  2θ (°)  I_rel
0 0 1  10.5  1000
1 1 0  24.5  176
1 1 -1  26.7  303
2 0 1  27.1  153
1 1 -2  32.5  434
1 1 2  32.6  178
2 0 2  32.9  208
1 1 3  40.7  181
0 2 0  43.0  140
3 1 0  43.6  197
2 0 -4  50.1  184
2 2 2  55.2  99